(1)
The following is a calculated powder diffraction line list of PmHo2Ga6. It was derived from a crystal structure in Alexandria, relaxed with GGA-PBE, using Cu Kα, 1.54184 Å.
Neutral-atom scattering factors, no anomalous dispersion.

Principal peaks in the range 5 to 70 degrees two-theta, low angle first:
2θ 24.4, 3.655 Å, intensity 14; 2θ 32.6, 2.743 Å, intensity 100; 2θ 42.9, 2.110 Å, intensity 41; 2θ 43.6, 2.076 Å, intensity 13; 2θ 49.9, 1.828 Å, intensity 2; 2θ 50.6, 1.805 Å, intensity 4; 2θ 54.9, 1.673 Å, intensity 23; 2θ 62.8, 1.480 Å, intensity 26; 2θ 67.8, 1.382 Å, intensity 2; 2θ 68.4, 1.372 Å, intensity 2

Crystal structure
a = 7.3104 Å, b = 7.3104 Å, c = 4.1512 Å
α = 90.00°, β = 90.00°, γ = 120.00°
Positions (direct):
Pm: 0.0000 0.0000 0.0000
Ho: 0.3333 0.6667 0.0000
Ho: 0.6667 0.3333 0.0000
Ga: 0.0000 0.3345 0.5000
Ga: 0.0000 0.6655 0.5000
Ga: 0.3345 0.0000 0.5000
Ga: 0.3345 0.3345 0.5000
Ga: 0.6655 0.0000 0.5000
Ga: 0.6655 0.6655 0.5000

***

(2)
The following is a calculated powder diffraction line list of Pm6HoGa2. It was derived from a crystal structure in Alexandria, relaxed with GGA-PBE, using Cu Kα, 1.54184 Å.
Neutral-atom scattering factors, no anomalous dispersion.

Principal peaks in the range 5 to 70 degrees two-theta, low angle first:
2θ 31.2, 2.864 Å, intensity 24; 2θ 32.0, 2.796 Å, intensity 22; 2θ 32.8, 2.729 Å, intensity 100; 2θ 45.3, 2.003 Å, intensity 9; 2θ 47.4, 1.920 Å, intensity 8; 2θ 48.8, 1.866 Å, intensity 10; 2θ 56.6, 1.626 Å, intensity 10; 2θ 57.6, 1.601 Å, intensity 10; 2θ 59.1, 1.564 Å, intensity 9; 2θ 59.5, 1.553 Å, intensity 11

Crystal structure
a = 6.6476 Å, b = 6.6476 Å, c = 11.9890 Å
α = 108.81°, β = 108.81°, γ = 32.61°
Positions (direct):
Pm: 0.0276 0.0276 0.3244
Pm: 0.3099 0.3099 0.4067
Pm: 0.3115 0.3115 0.1242
Pm: 0.6885 0.6885 0.8758
Pm: 0.6901 0.6901 0.5933
Pm: 0.9724 0.9724 0.6756
Ho: 0.0000 0.0000 0.0000
Ga: 0.3563 0.3563 0.8071
Ga: 0.6437 0.6437 0.1929

***

(3)
The following is a calculated powder diffraction line list of PmHoGa3. It was derived from a crystal structure in Alexandria, relaxed with GGA-PBE, using Cu Kα, 1.54184 Å.
Neutral-atom scattering factors, no anomalous dispersion.

Principal peaks in the range 5 to 70 degrees two-theta, low angle first:
2θ 25.4, 3.512 Å, intensity 20; 2θ 31.7, 2.821 Å, intensity 100; 2θ 32.2, 2.778 Å, intensity 54; 2θ 34.7, 2.583 Å, intensity 13; 2θ 41.2, 2.190 Å, intensity 32; 2θ 42.5, 2.129 Å, intensity 25; 2θ 43.1, 2.098 Å, intensity 24; 2θ 54.8, 1.674 Å, intensity 24; 2θ 60.7, 1.526 Å, intensity 20; 2θ 62.1, 1.494 Å, intensity 16

Crystal structure
a = 13.0098 Å, b = 13.0098 Å, c = 4.1964 Å
α = 90.00°, β = 90.00°, γ = 161.17°
Positions (direct):
Pm: 0.0735 0.9265 0.7500
Pm: 0.9265 0.0735 0.2500
Ho: 0.2039 0.7961 0.2500
Ho: 0.7961 0.2039 0.7500
Ga: 0.3227 0.6773 0.2500
Ga: 0.3794 0.6206 0.7500
Ga: 0.4758 0.5242 0.7500
Ga: 0.5242 0.4758 0.2500
Ga: 0.6206 0.3794 0.2500
Ga: 0.6773 0.3227 0.7500

***

(4)
The following is a calculated powder diffraction line list of Pm2Ho2ZnGa4. It was derived from a crystal structure in Alexandria, relaxed with GGA-PBE, using Cu Kα, 1.54184 Å.
Neutral-atom scattering factors, no anomalous dispersion.

Principal peaks in the range 5 to 70 degrees two-theta, low angle first:
2θ 25.5, 3.493 Å, intensity 27; 2θ 32.8, 2.733 Å, intensity 100; 2θ 33.2, 2.699 Å, intensity 26; 2θ 36.4, 2.470 Å, intensity 67; 2θ 41.1, 2.195 Å, intensity 10; 2θ 42.3, 2.136 Å, intensity 24; 2θ 52.4, 1.746 Å, intensity 23; 2θ 56.1, 1.641 Å, intensity 16; 2θ 57.0, 1.615 Å, intensity 12; 2θ 63.2, 1.472 Å, intensity 30

Crystal structure
a = 6.6081 Å, b = 6.6081 Å, c = 6.6081 Å
α = 116.18°, β = 116.18°, γ = 96.75°
Positions (direct):
Pm: 0.2500 0.7500 0.5000
Pm: 0.7500 0.2500 0.5000
Ho: 0.1858 0.1858 0.0000
Ho: 0.8142 0.8142 0.0000
Zn: 0.5000 0.5000 0.0000
Ga: 0.2540 0.2540 0.5080
Ga: 0.2540 0.7460 0.0000
Ga: 0.7460 0.2540 0.0000
Ga: 0.7460 0.7460 0.4920

***

(5)
The following is a calculated powder diffraction line list of Pr2HoGa. It was derived from a crystal structure in Alexandria, relaxed with GGA-PBE, using Cu Kα, 1.54184 Å.
Neutral-atom scattering factors, no anomalous dispersion.

Principal peaks in the range 5 to 70 degrees two-theta, low angle first:
2θ 25.5, 3.494 Å, intensity 18; 2θ 27.7, 3.216 Å, intensity 17; 2θ 28.2, 3.167 Å, intensity 18; 2θ 29.9, 2.990 Å, intensity 34; 2θ 31.1, 2.875 Å, intensity 100; 2θ 34.2, 2.623 Å, intensity 65; 2θ 40.0, 2.254 Å, intensity 21; 2θ 48.8, 1.867 Å, intensity 37; 2θ 59.0, 1.566 Å, intensity 16; 2θ 60.9, 1.521 Å, intensity 33

Crystal structure
a = 3.7331 Å, b = 3.7331 Å, c = 31.4500 Å
α = 90.00°, β = 90.00°, γ = 120.00°
Positions (direct):
Pr: 0.0000 0.0000 0.0000
Pr: 0.0000 0.0000 0.1890
Pr: 0.3333 0.6667 0.6667
Pr: 0.3333 0.6667 0.8557
Pr: 0.6667 0.3333 0.3333
Pr: 0.6667 0.3333 0.5224
Ho: 0.0000 0.0000 0.7611
Ho: 0.3333 0.6667 0.4277
Ho: 0.6667 0.3333 0.0944
Ga: 0.0000 0.0000 0.5948
Ga: 0.3333 0.6667 0.2615
Ga: 0.6667 0.3333 0.9282

***

(6)
The following is a calculated powder diffraction line list of Pr5HoGa5. It was derived from a crystal structure in Alexandria, relaxed with GGA-PBE, using Cu Kα, 1.54184 Å.
Neutral-atom scattering factors, no anomalous dispersion.

Principal peaks in the range 5 to 70 degrees two-theta, low angle first:
2θ 23.2, 3.840 Å, intensity 46; 2θ 26.2, 3.397 Å, intensity 31; 2θ 29.7, 3.011 Å, intensity 31; 2θ 31.2, 2.866 Å, intensity 100; 2θ 33.1, 2.710 Å, intensity 38; 2θ 33.8, 2.653 Å, intensity 80; 2θ 34.7, 2.586 Å, intensity 39; 2θ 36.7, 2.448 Å, intensity 48; 2θ 46.1, 1.969 Å, intensity 30; 2θ 47.3, 1.920 Å, intensity 32

Crystal structure
a = 8.6608 Å, b = 8.6608 Å, c = 6.8350 Å
α = 107.24°, β = 107.24°, γ = 38.66°
Positions (direct):
Pr: 0.0000 0.0000 0.0000
Pr: 0.3069 0.3069 0.2611
Pr: 0.3693 0.3693 0.7976
Pr: 0.6307 0.6307 0.2024
Pr: 0.6931 0.6931 0.7389
Ho: 0.0000 0.0000 0.5000
Ga: 0.1651 0.1651 0.8626
Ga: 0.1687 0.1687 0.4682
Ga: 0.5000 0.5000 0.5000
Ga: 0.8313 0.8313 0.5318
Ga: 0.8349 0.8349 0.1374

***

(7)
The following is a calculated powder diffraction line list of PrHo2Ga9. It was derived from a crystal structure in Alexandria, relaxed with GGA-PBE, using Cu Kα, 1.54184 Å.
Neutral-atom scattering factors, no anomalous dispersion.

Principal peaks in the range 5 to 70 degrees two-theta, low angle first:
2θ 6.8, 12.927 Å, intensity 1; 2θ 20.6, 4.312 Å, intensity 15; 2θ 29.3, 3.049 Å, intensity 12; 2θ 36.1, 2.489 Å, intensity 100; 2θ 41.9, 2.156 Å, intensity 49; 2θ 47.1, 1.928 Å, intensity 7; 2θ 51.9, 1.760 Å, intensity 5; 2θ 60.8, 1.524 Å, intensity 32; 2θ 64.9, 1.437 Å, intensity 3; 2θ 68.9, 1.363 Å, intensity 2

Crystal structure
a = 4.3131 Å, b = 4.3131 Å, c = 12.9265 Å
α = 90.00°, β = 90.00°, γ = 90.00°
Positions (direct):
Pr: 0.0000 0.0000 0.0000
Ho: 0.0000 0.0000 0.3371
Ho: 0.0000 0.0000 0.6629
Ga: 0.0000 0.5000 0.1735
Ga: 0.0000 0.5000 0.5000
Ga: 0.0000 0.5000 0.8265
Ga: 0.5000 0.0000 0.1735
Ga: 0.5000 0.0000 0.5000
Ga: 0.5000 0.0000 0.8265
Ga: 0.5000 0.5000 0.0000
Ga: 0.5000 0.5000 0.3340
Ga: 0.5000 0.5000 0.6660

***

(8)
The following is a calculated powder diffraction line list of Pr2HoGa4. It was derived from a crystal structure in Alexandria, relaxed with GGA-PBE, using Cu Kα, 1.54184 Å.
Neutral-atom scattering factors, no anomalous dispersion.

Principal peaks in the range 5 to 70 degrees two-theta, low angle first:
2θ 25.5, 3.494 Å, intensity 23; 2θ 31.1, 2.872 Å, intensity 100; 2θ 31.4, 2.845 Å, intensity 58; 2θ 35.3, 2.541 Å, intensity 31; 2θ 39.7, 2.269 Å, intensity 30; 2θ 41.7, 2.164 Å, intensity 27; 2θ 43.1, 2.101 Å, intensity 24; 2θ 54.3, 1.690 Å, intensity 25; 2θ 59.0, 1.566 Å, intensity 18; 2θ 61.5, 1.507 Å, intensity 17

Crystal structure
a = 4.2017 Å, b = 4.3281 Å, c = 18.8751 Å
α = 90.00°, β = 90.00°, γ = 90.00°
Positions (direct):
Pr: 0.0000 0.0000 0.1842
Pr: 0.0000 0.0000 0.8158
Pr: 0.5000 0.5000 0.3158
Pr: 0.5000 0.5000 0.6842
Ho: 0.0000 0.5000 0.5000
Ho: 0.5000 0.0000 0.0000
Ga: 0.0000 0.0000 0.3614
Ga: 0.0000 0.0000 0.6386
Ga: 0.0000 0.5000 0.0642
Ga: 0.0000 0.5000 0.9358
Ga: 0.5000 0.0000 0.4358
Ga: 0.5000 0.0000 0.5642
Ga: 0.5000 0.5000 0.1386
Ga: 0.5000 0.5000 0.8614